Record 1
Theoretical X-ray powder pattern of La3PrPd for Cu Kα (weighted mean of Kα1 and Kα2), from DFT lattice parameters and positions (PBE).

Crystal structure
abc: 6.4153 7.2702 7.2109
angles: 90.00 93.19 90.00
Space group P2_1/m (No. 11)
Inequivalent atoms, fractional coordinates:
La: 0.0500 0.2500 0.0963 x2
La: 0.4288 0.0000 0.7633 x4
Pr: 0.1114 0.7500 0.4055 x2
Pd: 0.3139 0.2500 0.4540 x2

Largest 8 diffraction maxima, by intensity, 2θ = 15–90°:
two_theta, I (rel.), hkl
28.23, 1000, 1 2 0
35.08, 613, 0 2 2
29.90, 489, 2 0 -1
30.56, 452, 1 2 -1
29.12, 403, 1 0 2
31.67, 363, 1 1 2
27.68, 296, 0 1 2
33.60, 262, 2 1 1



Record 2
Theoretical X-ray powder pattern of La3PrPd2 for Cu Kα (weighted mean of Kα1 and Kα2), from DFT lattice parameters and positions (PBE).

Crystal structure
abc: 13.2390 7.1548 8.0809
angles: 90.00 107.75 90.00
Space group C2/c (No. 15)
Inequivalent atoms, fractional coordinates:
La: 0.0000 0.2471 0.2500 x4
La: 0.2150 0.4996 0.1075 x8
Pr: 0.0000 0.2523 0.7500 x4
Pd: 0.1203 0.9995 0.0601 x8

Largest 8 diffraction maxima, by intensity, 2θ = 15–90°:
two_theta, I (rel.), hkl
34.23, 1000, 0 2 2
30.69, 931, 2 0 2
28.69, 852, 2 2 0
38.34, 467, 3 1 2
29.07, 423, 1 1 2
54.13, 288, 0 2 4
44.87, 281, 2 0 -4
37.83, 269, 5 1 0



Record 3
Theoretical X-ray powder pattern of La6PrPd3 for Cu Kα (weighted mean of Kα1 and Kα2), from DFT lattice parameters and positions (PBE).

Crystal structure
abc: 11.9895 13.7960 7.5532
angles: 90.00 90.00 90.00
Space group Cmc2_1 (No. 36)
Inequivalent atoms, fractional coordinates:
La: 0.0000 0.0376 0.0000 x4
La: 0.0000 0.2295 0.6484 x4
La: 0.1680 0.4562 0.4860 x8
La: 0.2250 0.1941 0.3350 x8
Pr: 0.0000 0.3225 0.1220 x4
Pd: 0.0000 0.4288 0.7826 x4
Pd: 0.1861 0.0910 0.6940 x8

Largest 8 diffraction maxima, by intensity, 2θ = 15–90°:
two_theta, I (rel.), hkl
33.28, 1000, 3 1 2
32.20, 941, 2 4 1
28.45, 609, 0 4 1
30.84, 582, 2 2 2
31.95, 558, 3 3 1
38.05, 437, 0 2 3
29.61, 400, 3 3 0
29.81, 334, 4 0 0



Record 4
Theoretical X-ray powder pattern of LaPrPdPt for Cu Kα (weighted mean of Kα1 and Kα2), from DFT lattice parameters and positions (PBE).

Crystal structure
abc: 4.6164 3.9706 11.0455
angles: 90.00 90.00 90.00
Space group Amm2 (No. 38)
Inequivalent atoms, fractional coordinates:
La: 0.0000 0.0000 0.0000 x2
Pr: 0.5000 0.0000 0.2714 x2
Pd: 0.0000 0.0000 0.7238 x2
Pt: 0.5000 0.0000 0.5471 x2

Largest 8 diffraction maxima, by intensity, 2θ = 15–90°:
two_theta, I (rel.), hkl
30.79, 1000, 1 1 1
38.63, 793, 1 1 3
32.42, 323, 0 0 4
39.02, 316, 2 0 0
37.97, 205, 1 0 4
45.70, 202, 0 2 0
71.35, 192, 2 2 4
51.61, 175, 2 0 4



Record 5
Theoretical X-ray powder pattern of La3Pd4Pt4 for Cu Kα (weighted mean of Kα1 and Kα2), from DFT lattice parameters and positions (PBE).

Crystal structure
abc: 7.9283 7.9283 7.9283
angles: 90.00 90.00 90.00
Space group I-43m (No. 217)
Inequivalent atoms, fractional coordinates:
La: 0.0000 0.0000 0.5000 x6
Pd: 0.1222 0.1222 0.1222 x8
Pt: 0.1969 0.1969 0.8031 x8

Largest 8 diffraction maxima, by intensity, 2θ = 15–90°:
two_theta, I (rel.), hkl
31.93, 1000, 2 2 0
48.73, 604, 4 1 1
35.82, 585, 3 1 0
42.67, 503, 3 2 1
27.56, 307, 2 1 1
73.65, 256, 6 1 1
15.81, 209, 1 1 0
54.27, 185, 3 3 2



Record 6
Theoretical X-ray powder pattern of La7PdPt4 for Cu Kα (weighted mean of Kα1 and Kα2), from DFT lattice parameters and positions (PBE).

Crystal structure
abc: 14.0388 4.1309 12.6808
angles: 90.00 103.69 90.00
Space group Cm (No. 8)
Inequivalent atoms, fractional coordinates:
La: 0.0000 0.0000 0.0000 x2
La: 0.0139 0.5000 0.2881 x2
La: 0.1040 0.5000 0.5929 x2
La: 0.2177 0.0000 0.8604 x2
La: 0.2604 0.5000 0.1428 x2
La: 0.2997 0.0000 0.4274 x2
La: 0.4135 0.5000 0.6941 x2
Pd: 0.1408 0.0000 0.2202 x2
Pt: 0.0611 0.5000 0.8258 x2
Pt: 0.2588 0.0000 0.6437 x2
Pt: 0.3767 0.0000 0.0683 x2
Pt: 0.4560 0.5000 0.4606 x2

Largest 8 diffraction maxima, by intensity, 2θ = 15–90°:
two_theta, I (rel.), hkl
30.50, 1000, 3 1 -2
31.24, 951, 3 1 1
28.95, 857, 3 1 -1
43.83, 670, 0 2 0
28.84, 664, 2 0 -4
41.78, 578, 5 1 1
29.21, 577, 3 1 0
38.25, 566, 1 1 4